Record 1
Diffraction record for In2TcOs. The powder diffraction line list is simulated, not measured: it uses the GGA-PBE geometry in Alexandria and a wavelength of 1.5418 Å.
Neutral-atom scattering factors, no anomalous dispersion.

Crystal structure
```
In2TcOs
1.0
2.9383 0.0000 0.0000
0.0000 1.4883 8.4851
0.0000 -1.4883 8.4851
In Tc Os
2 1 1
Cartesian
0.0000 0.0000 0.0000
1.4691 0.0000 2.8235
0.0000 0.0000 13.3631
1.4691 0.0000 6.4427
```

Peak list (10 most intense, 10 to 80 degrees two-theta, by intensity)
2theta, Rel. int.
37.22, 100
43.61, 90
40.30, 87
10.43, 79
66.81, 38
34.04, 30
74.95, 25
77.76, 25
44.46, 22
63.29, 21

---

Record 2
Diffraction record for Th6InTe3Os2. The powder diffraction line list is simulated, not measured: it uses the GGA-PBE geometry in Alexandria and a wavelength of 1.5418 Å.
Neutral-atom scattering factors, no anomalous dispersion.

Crystal structure
```
Th6InTe3Os2
1.0
9.7882 -2.1396 0.0000
9.7882 2.1396 0.0000
-2.6951 0.0000 8.8001
Th In Te Os
6 1 3 2
Cartesian
-0.2694 0.0000 2.2918
5.0992 0.0000 3.8539
4.1254 0.0000 7.6445
12.7559 0.0000 1.1556
11.7821 0.0000 4.9462
17.1508 0.0000 6.5083
9.7882 0.0000 0.0000
0.8299 0.0000 7.3877
8.4407 0.0000 4.4001
16.0514 0.0000 1.4124
2.4137 0.0000 3.0087
14.4676 0.0000 5.7915
```

Peak list (10 most intense, 10 to 80 degrees two-theta, by intensity)
2theta, Rel. int.
28.51, 100
28.61, 44
39.95, 32
41.70, 31
42.24, 19
11.61, 18
51.81, 18
39.22, 17
59.00, 11
68.93, 8

---

Record 3
Diffraction record for Th6In3Os. The powder diffraction line list is simulated, not measured: it uses the GGA-PBE geometry in Alexandria and a wavelength of 1.5418 Å.
Neutral-atom scattering factors, no anomalous dispersion.

Crystal structure
```
Th6In3Os
1.0
5.3739 3.1026 5.9652
-5.3739 3.1026 5.9652
0.0000 -6.2053 5.9652
Th In Os
12 6 2
Cartesian
-3.4442 -1.9885 10.2563
-1.9275 -1.1128 7.2487
0.0000 -3.9770 7.6393
-3.4442 1.9885 7.6393
0.0000 -2.2256 10.6469
-1.9275 1.1128 10.6469
1.9275 -1.1128 7.2487
0.0000 2.2256 7.2487
3.4442 -1.9885 10.2563
0.0000 3.9770 10.2563
1.9275 1.1128 10.6469
3.4442 1.9885 7.6393
0.0000 -2.0014 4.5125
-1.7333 1.0007 4.5125
1.7333 1.0007 4.5125
-1.7333 -1.0007 13.3831
1.7333 -1.0007 13.3831
0.0000 2.0014 13.3831
0.0000 0.0000 0.0000
0.0000 0.0000 8.9478
```

Peak list (10 most intense, 10 to 80 degrees two-theta, by intensity)
2theta, Rel. int.
32.53, 100
42.02, 23
50.98, 23
29.96, 20
54.84, 17
60.27, 15
61.79, 14
28.77, 14
13.73, 10
32.37, 8

---

Record 4
Diffraction record for Th5In2Os2. The powder diffraction line list is simulated, not measured: it uses the GGA-PBE geometry in Alexandria and a wavelength of 1.5418 Å.
Neutral-atom scattering factors, no anomalous dispersion.

Crystal structure
```
Th5In2Os2
1.0
-8.7480 4.3433 3.3982
8.7480 -4.3433 3.3982
8.7480 4.3433 -3.3982
Th In Os
10 4 4
Cartesian
0.5579 1.8692 0.0000
8.1901 1.8692 0.0000
4.3740 1.8390 1.3076
-2.7157 3.4706 1.9967
2.7157 -0.8726 5.3949
0.5579 2.4741 3.3982
8.1901 2.4741 3.3982
2.7157 5.2159 1.9967
6.0323 5.2159 1.9967
4.3740 2.5042 4.7058
1.7910 -0.3187 2.1399
6.9570 -0.3187 2.1399
6.9570 4.6620 -1.2583
10.5390 0.3187 2.1399
4.3740 -0.1226 3.2819
4.3740 4.4659 -0.1163
0.0000 4.3433 1.3472
0.0000 0.0000 4.7453
```

Peak list (10 most intense, 10 to 80 degrees two-theta, by intensity)
2theta, Rel. int.
35.05, 100
27.48, 46
33.42, 39
31.31, 26
24.86, 24
32.18, 24
39.61, 23
33.64, 18
46.03, 17
42.51, 17

---

Record 5
Diffraction record for Th11In9Os4. The powder diffraction line list is simulated, not measured: it uses the GGA-PBE geometry in Alexandria and a wavelength of 1.5418 Å.
Neutral-atom scattering factors, no anomalous dispersion.

Crystal structure
```
Th11In9Os4
1.0
7.4356 -11.1251 0.0000
7.4356 11.1251 0.0000
0.0000 0.0000 3.8742
Th In Os
11 9 4
Cartesian
0.0000 0.0000 0.0000
3.7015 3.7795 0.0000
7.4356 7.6348 0.0000
4.6643 0.0000 0.0000
7.4356 2.7916 0.0000
3.7015 -3.7795 0.0000
11.1696 3.7795 0.0000
7.4356 -2.7916 0.0000
10.2068 0.0000 0.0000
7.4356 -7.6348 0.0000
11.1696 -3.7795 0.0000
2.1860 1.5805 1.9371
5.9117 5.3160 1.9371
2.1860 -1.5805 1.9371
8.9594 5.3160 1.9371
7.4356 0.0000 1.9371
5.9117 -5.3160 1.9371
12.6851 1.5805 1.9371
8.9594 -5.3160 1.9371
12.6851 -1.5805 1.9371
5.1292 2.2354 1.9371
5.1292 -2.2354 1.9371
9.7419 2.2354 1.9371
9.7419 -2.2354 1.9371
```

Peak list (10 most intense, 10 to 80 degrees two-theta, by intensity)
2theta, Rel. int.
33.43, 100
34.15, 34
35.66, 25
46.90, 16
59.29, 15
31.70, 11
37.16, 11
30.58, 11
37.21, 10
78.40, 9

---

Record 6
Diffraction record for Tl4InOs. The powder diffraction line list is simulated, not measured: it uses the GGA-PBE geometry in Alexandria and a wavelength of 1.5418 Å.
Neutral-atom scattering factors, no anomalous dispersion.

Crystal structure
```
Tl4InOs
1.0
0.0000 4.3553 4.3553
4.3553 0.0000 4.3553
4.3553 4.3553 0.0000
Tl In Os
4 1 1
Cartesian
3.2728 3.2728 3.2728
5.4377 5.4377 3.2728
5.4377 3.2728 5.4377
3.2728 5.4377 5.4377
0.0000 0.0000 0.0000
6.5329 6.5329 6.5329
```

Peak list (10 most intense, 10 to 80 degrees two-theta, by intensity)
2theta, Rel. int.
34.14, 100
35.71, 50
54.76, 35
60.09, 32
71.90, 20
28.99, 19
17.64, 16
70.95, 12
41.47, 10
51.39, 8

---

Record 7
Diffraction record for Tm6In2Os. The powder diffraction line list is simulated, not measured: it uses the GGA-PBE geometry in Alexandria and a wavelength of 1.5418 Å.
Neutral-atom scattering factors, no anomalous dispersion.

Crystal structure
```
Tm6In2Os
1.0
8.4234 0.0000 0.0000
-4.2117 7.2949 0.0000
0.0000 0.0000 3.8982
Tm In Os
6 2 1
Cartesian
-1.6134 2.7946 0.0000
-3.1885 5.5226 1.9491
1.0232 1.7723 1.9491
3.2269 0.0000 0.0000
2.5983 4.5003 0.0000
6.3769 0.0000 1.9491
0.0000 4.8633 1.9491
4.2117 2.4316 1.9491
0.0000 0.0000 0.0000
```

Peak list (10 most intense, 10 to 80 degrees two-theta, by intensity)
2theta, Rel. int.
31.27, 100
33.65, 71
32.47, 53
36.97, 51
40.06, 49
60.17, 35
57.94, 29
12.13, 25
60.92, 24
46.60, 22

---

Record 8
Diffraction record for Tm4InOs. The powder diffraction line list is simulated, not measured: it uses the GGA-PBE geometry in Alexandria and a wavelength of 1.5418 Å.
Neutral-atom scattering factors, no anomalous dispersion.

Crystal structure
```
Tm4InOs
1.0
0.0000 6.7432 6.7432
6.7432 0.0000 6.7432
6.7432 6.7432 0.0000
Tm In Os
16 4 4
Cartesian
8.7972 4.6893 4.6893
3.3716 3.3716 0.7284
3.3716 0.7284 3.3716
6.0149 3.3716 3.3716
6.7432 6.7432 2.6019
6.7432 2.6019 6.7432
10.8846 6.7432 6.7432
0.7284 3.3716 3.3716
3.3716 6.0149 3.3716
3.3716 3.3716 6.0149
4.6893 8.7972 4.6893
4.6893 4.6893 8.7972
8.7972 8.7972 8.7972
2.6019 6.7432 6.7432
6.7432 10.8846 6.7432
6.7432 6.7432 10.8846
5.6232 5.6232 5.6232
7.8632 7.8632 5.6232
7.8632 5.6232 7.8632
5.6232 7.8632 7.8632
11.6149 8.6147 8.6147
8.6147 11.6149 8.6147
8.6147 8.6147 11.6149
11.6149 11.6149 11.6149
```

Peak list (10 most intense, 10 to 80 degrees two-theta, by intensity)
2theta, Rel. int.
34.56, 100
37.73, 50
32.53, 45
58.03, 40
28.86, 18
72.50, 17
59.35, 16
52.09, 15
11.36, 14
69.33, 12

---

Record 9
Diffraction record for Y4InOs. The powder diffraction line list is simulated, not measured: it uses the GGA-PBE geometry in Alexandria and a wavelength of 1.5418 Å.
Neutral-atom scattering factors, no anomalous dispersion.

Crystal structure
```
Y4InOs
1.0
2.5174 1.4534 8.1257
-2.5174 1.4534 8.1257
0.0000 -2.9068 8.1257
Y In Os
4 1 1
Cartesian
0.0000 0.0000 2.7640
0.0000 0.0000 8.8986
0.0000 0.0000 15.4785
0.0000 0.0000 21.6131
0.0000 0.0000 12.1886
0.0000 0.0000 0.0000
```

Peak list (10 most intense, 10 to 80 degrees two-theta, by intensity)
2theta, Rel. int.
35.67, 100
35.96, 83
21.65, 75
64.26, 30
51.54, 29
42.23, 24
21.88, 22
10.89, 18
64.07, 18
42.48, 14

---

Record 10
Diffraction record for Y2InOs. The powder diffraction line list is simulated, not measured: it uses the GGA-PBE geometry in Alexandria and a wavelength of 1.5418 Å.
Neutral-atom scattering factors, no anomalous dispersion.

Crystal structure
```
Y2InOs
1.0
4.9890 0.0000 0.0000
0.0000 4.9890 0.0000
0.0000 0.0000 3.6624
Y In Os
2 1 1
Cartesian
0.0000 2.4945 0.0000
2.4945 0.0000 0.0000
0.0000 0.0000 1.8312
2.4945 2.4945 1.8312
```

Peak list (10 most intense, 10 to 80 degrees two-theta, by intensity)
2theta, Rel. int.
35.33, 100
36.00, 47
64.29, 34
62.97, 18
51.83, 17
74.72, 11
49.79, 9
25.25, 7
17.78, 5
76.35, 5

---

Record 11
Diffraction record for In4P. The powder diffraction line list is simulated, not measured: it uses the GGA-PBE geometry in Alexandria and a wavelength of 1.5418 Å.
Neutral-atom scattering factors, no anomalous dispersion.

Crystal structure
```
In4P
1.0
-3.2795 3.2795 3.2795
3.2795 -3.2795 3.2795
3.2795 3.2795 -3.2795
In P
4 1
Cartesian
1.6397 1.6397 -1.6397
1.6397 -1.6397 1.6397
-1.6397 1.6397 1.6397
1.6397 1.6397 1.6397
0.0000 0.0000 0.0000
```

Peak list (10 most intense, 10 to 80 degrees two-theta, by intensity)
2theta, Rel. int.
38.83, 100
27.19, 100
63.42, 35
70.31, 33
48.05, 28
56.09, 16
19.14, 3
33.47, 1
52.18, 1
43.64, 1

---

Record 12
Diffraction record for In4P5. The powder diffraction line list is simulated, not measured: it uses the GGA-PBE geometry in Alexandria and a wavelength of 1.5418 Å.
Neutral-atom scattering factors, no anomalous dispersion.

Crystal structure
```
In4P5
1.0
-6.3746 6.3746 1.6030
6.3746 -6.3746 1.6030
6.3746 6.3746 -1.6030
In P
4 5
Cartesian
2.7845 0.0000 0.0000
9.9647 0.0000 0.0000
0.0000 2.7845 0.0000
0.0000 9.9647 0.0000
0.0000 0.0000 0.0000
3.7081 3.7081 0.0000
2.6665 -2.6665 1.6030
-2.6665 2.6665 1.6030
2.6665 2.6665 1.6030
```

Peak list (10 most intense, 10 to 80 degrees two-theta, by intensity)
2theta, Rel. int.
37.88, 100
27.99, 91
19.70, 77
28.71, 54
60.21, 43
35.92, 35
45.45, 27
40.53, 27
54.23, 25
50.63, 24